# AlInGa14
Computed PXRD pattern, Cu Kα (weighted mean of Kα1 and Kα2). Input: DFT lattice parameters and positions (GGA-PBE).
No peak broadening, texture or thermal motion is included.

Largest 10 diffraction maxima, in order of rising 2θ, 10° ≤ 2θ ≤ 80°:
- 2θ = 36.2°, rel. 100.0, hkl 1 2 1
- 2θ = 37.2°, rel. 92.7, hkl 3 0 -1
- 2θ = 41.4°, rel. 68.3, hkl 2 2 -2
- 2θ = 45.1°, rel. 26.9, hkl 2 0 2
- 2θ = 58.6°, rel. 11.9, hkl 0 4 0
- 2θ = 61.3°, rel. 10.0, hkl 4 0 -4
- 2θ = 62.9°, rel. 37.2, hkl 4 2 0
- 2θ = 71.5°, rel. 25.4, hkl 3 4 -1
- 2θ = 73.4°, rel. 23.0, hkl 5 2 -3
- 2θ = 76.9°, rel. 10.4, hkl 2 4 2

Structure:
Cell lengths 7.2617, 6.2966, 7.2622 Å; angles 90.00, 112.71, 90.00 degrees
Space group Pm (No. 6)
Asymmetric unit:
Al1 0.0000 0.0000 0.0000 [1 per cell]
In1 0.7446 0.0000 0.2547 [1 per cell]
Ga1 0.1318 0.2530 0.3782 [2 per cell]
Ga2 0.2464 0.0000 0.7526 [1 per cell]
Ga3 0.2490 0.5000 0.7479 [1 per cell]
Ga4 0.3587 0.2568 0.1184 [2 per cell]
Ga5 0.4934 0.0000 0.5058 [1 per cell]
Ga6 0.5022 0.5000 0.4972 [1 per cell]
Ga7 0.6204 0.2537 0.8680 [2 per cell]
Ga8 0.7454 0.5000 0.2558 [1 per cell]
Ga9 0.8801 0.2557 0.6413 [2 per cell]
Ga10 0.9895 0.5000 0.0097 [1 per cell]

***

# Cu6GeWS8
Computed PXRD pattern, Cu Kα (weighted mean of Kα1 and Kα2). Input: DFT lattice parameters and positions (GGA-PBE).
No peak broadening, texture or thermal motion is included.

Largest 10 diffraction maxima, in order of rising 2θ, 10° ≤ 2θ ≤ 80°:
- 2θ = 14.2°, rel. 17.7, hkl 0 0 2
- 2θ = 15.2°, rel. 100.0, hkl 1 0 1
- 2θ = 27.5°, rel. 24.1, hkl 1 1 2
- 2θ = 28.1°, rel. 35.4, hkl 2 0 1
- 2θ = 30.8°, rel. 29.8, hkl 2 0 2
- 2θ = 36.9°, rel. 25.2, hkl 2 1 1
- 2θ = 39.9°, rel. 16.6, hkl 2 0 4
- 2θ = 45.7°, rel. 26.9, hkl 2 0 5
- 2θ = 47.9°, rel. 55.1, hkl 2 2 0
- 2θ = 52.1°, rel. 30.9, hkl 2 0 6

Structure:
Cell lengths 7.5903, 7.5903, 12.4528 Å; angles 90.00, 90.00, 120.00 degrees
Space group P6_3mc (No. 186)
Asymmetric unit:
Cu1 0.0058 0.5029 0.0000 [6 per cell]
Cu2 0.1614 0.3227 0.7516 [6 per cell]
Ge1 0.0000 0.0000 0.4989 [2 per cell]
W1 0.3333 0.6667 0.6278 [2 per cell]
S1 0.0000 0.0000 0.1817 [2 per cell]
S2 0.0074 0.5037 0.6877 [6 per cell]
S3 0.1647 0.3294 0.9368 [6 per cell]
S4 0.3333 0.6667 0.4456 [2 per cell]

***

# SrTiNb2O8
Computed PXRD pattern, Cu Kα (weighted mean of Kα1 and Kα2). Input: DFT lattice parameters and positions (GGA-PBE).
No peak broadening, texture or thermal motion is included.

Largest 10 diffraction maxima, in order of rising 2θ, 10° ≤ 2θ ≤ 80°:
- 2θ = 21.0°, rel. 27.5, hkl 1 1 -1
- 2θ = 22.1°, rel. 86.9, hkl 2 0 0
- 2θ = 23.1°, rel. 32.8, hkl 1 1 1
- 2θ = 23.7°, rel. 43.0, hkl 2 0 -1
- 2θ = 28.3°, rel. 77.0, hkl 0 2 0
- 2θ = 30.0°, rel. 100.0, hkl 1 1 -2
- 2θ = 33.1°, rel. 66.6, hkl 1 1 2
- 2θ = 37.3°, rel. 37.8, hkl 2 2 -1
- 2θ = 40.7°, rel. 33.6, hkl 3 1 1
- 2θ = 51.2°, rel. 27.0, hkl 1 3 -2

Structure:
Cell lengths 8.1425, 6.3031, 7.0063 Å; angles 90.00, 99.52, 90.00 degrees
Space group C2/m (No. 12)
Asymmetric unit:
Sr1 0.0000 0.0000 0.0000 [2 per cell]
Ti1 0.0000 0.0000 0.5000 [2 per cell]
Nb1 0.0792 0.5000 0.2460 [4 per cell]
O1 0.0023 0.2210 0.7046 [8 per cell]
O2 0.1680 0.5000 0.0178 [4 per cell]
O3 0.2407 0.0000 0.5530 [4 per cell]

***

# LiNb2SnH
Computed PXRD pattern, Cu Kα (weighted mean of Kα1 and Kα2). Input: DFT lattice parameters and positions (GGA-PBE).
No peak broadening, texture or thermal motion is included.

Largest 10 diffraction maxima, in order of rising 2θ, 10° ≤ 2θ ≤ 80°:
- 2θ = 21.8°, rel. 24.9, hkl 1 0 0
- 2θ = 29.7°, rel. 25.2, hkl 1 0 1
- 2θ = 37.2°, rel. 100.0, hkl 1 1 1
- 2θ = 40.3°, rel. 20.2, hkl 0 0 2
- 2θ = 44.5°, rel. 30.4, hkl 2 0 0
- 2θ = 61.6°, rel. 23.0, hkl 2 0 2
- 2θ = 64.8°, rel. 9.9, hkl 2 2 0
- 2θ = 71.2°, rel. 14.8, hkl 1 1 3
- 2θ = 77.1°, rel. 23.8, hkl 3 1 1
- 2θ = 79.2°, rel. 11.2, hkl 2 2 2

Structure:
Cell lengths 4.0691, 4.0691, 4.4729 Å; angles 90.00, 90.00, 90.00 degrees
Space group P4/mmm (No. 123)
Asymmetric unit:
Li1 0.0000 0.0000 0.0000 [1 per cell]
Nb1 0.0000 0.5000 0.5000 [2 per cell]
Sn1 0.5000 0.5000 0.0000 [1 per cell]
H1 0.0000 0.0000 0.5000 [1 per cell]